Calculated PXRD pattern
Compound: MgSc2V2O7
Radiation: Cu Kα (weighted mean of Kα1 and Kα2)
Structure: a crystal structure in the Materials Project, relaxed with GGA+U

Cell and atoms:
```
data_MgSc2V2O7
_chemical_formula_sum 'Mg1 Sc2 V2 O7'
_symmetry_space_group_name_H-M 'P 1'
_symmetry_Int_Tables_number 1
_cell_length_a 5.5184
_cell_length_b 5.5789
_cell_length_c 5.5883
_cell_angle_alpha 110.42
_cell_angle_beta 93.27
_cell_angle_gamma 94.61
loop_
_symmetry_equiv_pos_as_xyz
'x,y,z'
loop_
_atom_site_label
_atom_site_type_symbol
_atom_site_fract_x
_atom_site_fract_y
_atom_site_fract_z
_atom_site_occupancy
Mg1 Mg 0.0000 0.0000 0.0000 1
Sc1 Sc 0.8896 0.3866 0.7506 1
Sc2 Sc 0.8930 0.7477 0.3934 1
V1 V 0.2946 0.3563 0.3558 1
V2 V 0.4941 0.8086 0.8230 1
O1 O 0.0612 0.1222 0.4364 1
O2 O 0.0626 0.4316 0.1207 1
O3 O 0.1447 0.6567 0.6562 1
O4 O 0.3617 0.0645 0.0657 1
O5 O 0.6271 0.5083 0.5176 1
O6 O 0.7545 0.0213 0.7256 1
O7 O 0.7543 0.7224 0.0315 1
```

Top 10 peaks for 5 to 70 degrees two-theta, sorted by position:
16.18 deg, I = 37, hkl 1 0 0
19.36 deg, I = 77, hkl 0 1 -1
24.62 deg, I = 35, hkl 1 0 1
25.15 deg, I = 91, hkl 1 -1 1
25.52 deg, I = 100, hkl 1 1 -1
30.90 deg, I = 63, hkl -1 1 1
45.26 deg, I = 38, hkl -1 2 1
45.30 deg, I = 36, hkl -1 1 2
47.73 deg, I = 58, hkl 2 -1 2
48.43 deg, I = 52, hkl 2 2 -1


Calculated PXRD pattern
Compound: Li2Fe2P3O12
Radiation: Cu Kα (weighted mean of Kα1 and Kα2)
Structure: a crystal structure in the Materials Project, relaxed with GGA+U

Cell and atoms:
```
data_Li2Fe2P3O12
_chemical_formula_sum 'Li4 Fe4 P6 O24'
_symmetry_space_group_name_H-M 'P 1'
_symmetry_Int_Tables_number 1
_cell_length_a 8.5360
_cell_length_b 8.5463
_cell_length_c 8.7863
_cell_angle_alpha 62.24
_cell_angle_beta 61.36
_cell_angle_gamma 60.50
loop_
_symmetry_equiv_pos_as_xyz
'x,y,z'
loop_
_atom_site_label
_atom_site_type_symbol
_atom_site_fract_x
_atom_site_fract_y
_atom_site_fract_z
_atom_site_occupancy
Li1 Li 0.1512 0.2941 0.0475 1
Li2 Li 0.2786 0.1033 0.3721 1
Li3 Li 0.7214 0.8967 0.6279 1
Li4 Li 0.8488 0.7059 0.9525 1
Fe1 Fe 0.1441 0.6367 0.5731 1
Fe2 Fe 0.3498 0.8521 0.9400 1
Fe3 Fe 0.6502 0.1479 0.0600 1
Fe4 Fe 0.8559 0.3633 0.4269 1
P1 P 0.0333 0.9660 0.7509 1
P2 P 0.2544 0.4568 0.2490 1
P3 P 0.4609 0.2511 0.7550 1
P4 P 0.5391 0.7489 0.2450 1
P5 P 0.7456 0.5432 0.7510 1
P6 P 0.9667 0.0340 0.2491 1
O1 O 0.0292 0.1161 0.5629 1
O2 O 0.0987 0.7652 0.7402 1
O3 O 0.1202 0.3816 0.2479 1
O4 O 0.1691 0.9798 0.8064 1
O5 O 0.1711 0.0099 0.1081 1
O6 O 0.1823 0.4862 0.4348 1
O7 O 0.2576 0.3898 0.7503 1
O8 O 0.2598 0.6383 0.0922 1
O9 O 0.3799 0.6862 0.4080 1
O10 O 0.4476 0.2911 0.2396 1
O11 O 0.4534 0.2436 0.9388 1
O12 O 0.4878 0.0541 0.7630 1
O13 O 0.5122 0.9459 0.2370 1
O14 O 0.5466 0.7564 0.0612 1
O15 O 0.5524 0.7089 0.7604 1
O16 O 0.6201 0.3138 0.5920 1
O17 O 0.7402 0.3617 0.9078 1
O18 O 0.7424 0.6102 0.2497 1
O19 O 0.8177 0.5138 0.5652 1
O20 O 0.8289 0.9901 0.8919 1
O21 O 0.8309 0.0202 0.1936 1
O22 O 0.8798 0.6184 0.7521 1
O23 O 0.9013 0.2348 0.2598 1
O24 O 0.9708 0.8839 0.4371 1
```

Top 10 peaks for 5 to 70 degrees two-theta, sorted by position:
14.33 deg, I = 88, hkl 1 0 1
19.83 deg, I = 72, hkl 0 1 -1
20.11 deg, I = 49, hkl 1 0 -1
20.25 deg, I = 55, hkl 1 1 2
20.80 deg, I = 61, hkl 1 2 1
23.83 deg, I = 99, hkl 1 2 0
24.10 deg, I = 89, hkl -1 1 1
24.17 deg, I = 66, hkl 2 1 2
24.32 deg, I = 48, hkl 1 2 2
28.90 deg, I = 100, hkl 2 0 2


Calculated PXRD pattern
Compound: Mn6O5F7
Radiation: Cu Kα (weighted mean of Kα1 and Kα2)
Structure: a crystal structure in the Materials Project, relaxed with GGA+U

Cell and atoms:
```
data_Mn6O5F7
_chemical_formula_sum 'Mn12 O10 F14'
_symmetry_space_group_name_H-M 'P 1'
_symmetry_Int_Tables_number 1
_cell_length_a 4.7422
_cell_length_b 5.7410
_cell_length_c 15.6315
_cell_angle_alpha 90.00
_cell_angle_beta 90.49
_cell_angle_gamma 90.00
loop_
_symmetry_equiv_pos_as_xyz
'x,y,z'
loop_
_atom_site_label
_atom_site_type_symbol
_atom_site_fract_x
_atom_site_fract_y
_atom_site_fract_z
_atom_site_occupancy
Mn1 Mn 0.0000 0.1251 0.0000 1
Mn2 Mn 0.0000 0.8749 0.5000 1
Mn3 Mn 0.4968 0.3638 0.8310 1
Mn4 Mn 0.4968 0.6362 0.3310 1
Mn5 Mn 0.4992 0.3149 0.4951 1
Mn6 Mn 0.4992 0.6851 0.9951 1
Mn7 Mn 0.5276 0.3443 0.1688 1
Mn8 Mn 0.5276 0.6557 0.6688 1
Mn9 Mn 0.9559 0.1542 0.6693 1
Mn10 Mn 0.9559 0.8458 0.1693 1
Mn11 Mn 0.9643 0.1659 0.3347 1
Mn12 Mn 0.9643 0.8341 0.8347 1
O1 O 0.1899 0.1220 0.4393 1
O2 O 0.1899 0.8780 0.9393 1
O3 O 0.6928 0.3825 0.3871 1
O4 O 0.6928 0.6175 0.8871 1
O5 O 0.7057 0.3954 0.7236 1
O6 O 0.7057 0.6046 0.2236 1
O7 O 0.7682 0.1209 0.2256 1
O8 O 0.7682 0.8791 0.7256 1
O9 O 0.7773 0.1093 0.5593 1
O10 O 0.7773 0.8907 0.0593 1
F1 F 0.2086 0.1318 0.7781 1
F2 F 0.2086 0.8682 0.2781 1
F3 F 0.2385 0.3795 0.2741 1
F4 F 0.2385 0.6205 0.7741 1
F5 F 0.2537 0.3641 0.9431 1
F6 F 0.2537 0.6359 0.4431 1
F7 F 0.2588 0.1136 0.1162 1
F8 F 0.2588 0.8864 0.6162 1
F9 F 0.2768 0.3949 0.6080 1
F10 F 0.2768 0.6051 0.1080 1
F11 F 0.7392 0.1124 0.8884 1
F12 F 0.7392 0.8876 0.3884 1
F13 F 0.7478 0.3784 0.0487 1
F14 F 0.7478 0.6216 0.5487 1
```

Top 10 peaks for 5 to 70 degrees two-theta, sorted by position:
24.35 deg, I = 100, hkl 1 1 0
29.76 deg, I = 92, hkl 1 1 -3
29.95 deg, I = 93, hkl 1 1 3
34.43 deg, I = 22, hkl 0 0 6
35.71 deg, I = 32, hkl 0 2 3
51.50 deg, I = 26, hkl 1 3 0
51.92 deg, I = 22, hkl 2 0 -6
52.97 deg, I = 35, hkl 2 2 -3
53.21 deg, I = 35, hkl 2 2 3
62.50 deg, I = 33, hkl 0 2 9


Calculated PXRD pattern
Compound: EuCoO3
Radiation: Cu Kα (weighted mean of Kα1 and Kα2)
Structure: a crystal structure in the Materials Project, relaxed with GGA+U

Cell and atoms:
```
data_EuCoO3
_chemical_formula_sum 'Eu1 Co1 O3'
_symmetry_space_group_name_H-M 'P 1'
_symmetry_Int_Tables_number 1
_cell_length_a 3.7701
_cell_length_b 3.7701
_cell_length_c 3.7701
_cell_angle_alpha 90.00
_cell_angle_beta 90.00
_cell_angle_gamma 90.00
loop_
_symmetry_equiv_pos_as_xyz
'x,y,z'
loop_
_atom_site_label
_atom_site_type_symbol
_atom_site_fract_x
_atom_site_fract_y
_atom_site_fract_z
_atom_site_occupancy
Eu1 Eu 0.0000 0.0000 0.0000 1
Co1 Co 0.5000 0.5000 0.5000 1
O1 O 0.0000 0.5000 0.5000 1
O2 O 0.5000 0.0000 0.5000 1
O3 O 0.5000 0.5000 0.0000 1
```

Top 6 peaks for 5 to 70 degrees two-theta, sorted by position:
23.60 deg, I = 15, hkl 1 0 0
33.62 deg, I = 100, hkl 1 1 0
41.49 deg, I = 18, hkl 1 1 1
48.28 deg, I = 30, hkl 2 0 0
54.42 deg, I = 8, hkl 2 1 0
60.12 deg, I = 37, hkl 2 1 1


Calculated PXRD pattern
Compound: Li9Mn2Co5O16
Radiation: Cu Kα (weighted mean of Kα1 and Kα2)
Structure: a crystal structure in the Materials Project, relaxed with GGA+U

Cell and atoms:
```
data_Li9Mn2Co5O16
_chemical_formula_sum 'Li9 Mn2 Co5 O16'
_symmetry_space_group_name_H-M 'P 1'
_symmetry_Int_Tables_number 1
_cell_length_a 2.9682
_cell_length_b 9.9826
_cell_length_c 10.7654
_cell_angle_alpha 65.53
_cell_angle_beta 82.40
_cell_angle_gamma 89.96
loop_
_symmetry_equiv_pos_as_xyz
'x,y,z'
loop_
_atom_site_label
_atom_site_type_symbol
_atom_site_fract_x
_atom_site_fract_y
_atom_site_fract_z
_atom_site_occupancy
Li1 Li 0.0000 0.0000 0.0000 1
Li2 Li 0.1118 0.9298 0.7640 1
Li3 Li 0.1275 0.4330 0.7547 1
Li4 Li 0.3759 0.3187 0.2465 1
Li5 Li 0.3877 0.8139 0.2359 1
Li6 Li 0.6123 0.1861 0.7641 1
Li7 Li 0.6241 0.6813 0.7535 1
Li8 Li 0.8725 0.5670 0.2453 1
Li9 Li 0.8882 0.0702 0.2360 1
Mn1 Mn 0.2625 0.8719 0.4981 1
Mn2 Mn 0.7375 0.1281 0.5019 1
Co1 Co 0.0000 0.5000 0.0000 1
Co2 Co 0.2226 0.3852 0.5015 1
Co3 Co 0.4962 0.7591 0.0010 1
Co4 Co 0.5038 0.2409 0.9990 1
Co5 Co 0.7774 0.6148 0.4985 1
O1 O 0.0774 0.2194 0.8844 1
O2 O 0.0817 0.7069 0.8835 1
O3 O 0.1802 0.1498 0.6128 1
O4 O 0.2146 0.6687 0.6115 1
O5 O 0.2975 0.0889 0.3940 1
O6 O 0.3213 0.5956 0.3777 1
O7 O 0.4402 0.0526 0.1190 1
O8 O 0.4395 0.5440 0.1118 1
O9 O 0.5605 0.4560 0.8882 1
O10 O 0.5598 0.9474 0.8810 1
O11 O 0.6787 0.4044 0.6223 1
O12 O 0.7025 0.9111 0.6060 1
O13 O 0.7854 0.3313 0.3885 1
O14 O 0.8198 0.8502 0.3872 1
O15 O 0.9183 0.2931 0.1165 1
O16 O 0.9226 0.7806 0.1156 1
```

Top 10 peaks for 5 to 70 degrees two-theta, sorted by position:
9.75 deg, I = 9, hkl 0 1 0
18.30 deg, I = 100, hkl 0 0 2
35.64 deg, I = 29, hkl -1 2 1
36.75 deg, I = 12, hkl 0 4 1
42.88 deg, I = 29, hkl -1 2 3
43.10 deg, I = 29, hkl 1 2 4
44.69 deg, I = 25, hkl 0 4 -1
62.26 deg, I = 8, hkl 0 4 7
62.59 deg, I = 8, hkl 2 0 1
64.20 deg, I = 13, hkl 1 6 3


Calculated PXRD pattern
Compound: Li9Mn2Co5O16
Radiation: Cu Kα (weighted mean of Kα1 and Kα2)
Structure: a crystal structure in the Materials Project, relaxed with GGA+U

Cell and atoms:
```
data_Li9Mn2Co5O16
_chemical_formula_sum 'Li9 Mn2 Co5 O16'
_symmetry_space_group_name_H-M 'P 1'
_symmetry_Int_Tables_number 1
_cell_length_a 2.8925
_cell_length_b 10.2570
_cell_length_c 10.6892
_cell_angle_alpha 113.01
_cell_angle_beta 96.66
_cell_angle_gamma 91.06
loop_
_symmetry_equiv_pos_as_xyz
'x,y,z'
loop_
_atom_site_label
_atom_site_type_symbol
_atom_site_fract_x
_atom_site_fract_y
_atom_site_fract_z
_atom_site_occupancy
Li1 Li 0.0000 0.0000 0.0000 1
Li2 Li 0.0005 0.4789 0.9902 1
Li3 Li 0.2682 0.8772 0.5193 1
Li4 Li 0.2771 0.3773 0.5174 1
Li5 Li 0.3905 0.3099 0.7608 1
Li6 Li 0.5033 0.2477 0.0054 1
Li7 Li 0.5136 0.7374 0.0056 1
Li8 Li 0.7740 0.6216 0.5139 1
Li9 Li 0.7815 0.1381 0.5310 1
Mn1 Mn 0.1415 0.9350 0.2603 1
Mn2 Mn 0.3908 0.8095 0.7610 1
Co1 Co 0.1421 0.4374 0.2600 1
Co2 Co 0.6305 0.6824 0.2605 1
Co3 Co 0.6532 0.1887 0.2611 1
Co4 Co 0.8853 0.5371 0.7539 1
Co5 Co 0.8947 0.0823 0.7671 1
O1 O 0.0636 0.2143 0.1445 1
O2 O 0.0676 0.7335 0.1502 1
O3 O 0.2027 0.6527 0.3782 1
O4 O 0.2199 0.1405 0.3693 1
O5 O 0.3367 0.0838 0.6422 1
O6 O 0.3386 0.6063 0.6543 1
O7 O 0.4424 0.0127 0.8684 1
O8 O 0.4423 0.5340 0.8781 1
O9 O 0.5581 0.4687 0.1452 1
O10 O 0.5936 0.9634 0.1505 1
O11 O 0.6897 0.9073 0.3704 1
O12 O 0.7153 0.4000 0.3738 1
O13 O 0.8299 0.3538 0.6377 1
O14 O 0.8407 0.8362 0.6500 1
O15 O 0.9408 0.7843 0.8720 1
O16 O 0.9485 0.2651 0.8813 1
```

Top 10 peaks for 5 to 70 degrees two-theta, sorted by position:
9.07 deg, I = 7, hkl 0 0 1
18.20 deg, I = 100, hkl 0 0 2
35.51 deg, I = 14, hkl 0 4 -1
35.85 deg, I = 14, hkl 1 -2 1
36.57 deg, I = 12, hkl 1 2 -2
42.94 deg, I = 27, hkl 0 4 1
43.22 deg, I = 28, hkl 1 -2 3
44.20 deg, I = 26, hkl 1 2 -4
62.62 deg, I = 14, hkl 0 4 -7
64.44 deg, I = 7, hkl 2 0 -1


Calculated PXRD pattern
Compound: TaZn2WO6
Radiation: Cu Kα (weighted mean of Kα1 and Kα2)
Structure: a crystal structure in the Materials Project, relaxed with GGA+U

Cell and atoms:
```
data_TaZn2WO6
_chemical_formula_sum 'Ta2 Zn4 W2 O12'
_symmetry_space_group_name_H-M 'P 1'
_symmetry_Int_Tables_number 1
_cell_length_a 5.4121
_cell_length_b 5.5389
_cell_length_c 9.5346
_cell_angle_alpha 90.00
_cell_angle_beta 124.21
_cell_angle_gamma 90.00
loop_
_symmetry_equiv_pos_as_xyz
'x,y,z'
loop_
_atom_site_label
_atom_site_type_symbol
_atom_site_fract_x
_atom_site_fract_y
_atom_site_fract_z
_atom_site_occupancy
Ta1 Ta 0.0000 0.0000 0.0000 1
Ta2 Ta 0.0000 0.5000 0.5000 1
Zn1 Zn 0.2494 0.0085 0.7439 1
Zn2 Zn 0.2494 0.4915 0.2439 1
Zn3 Zn 0.7506 0.5085 0.7561 1
Zn4 Zn 0.7506 0.9915 0.2561 1
W1 W 0.5000 0.0000 0.5000 1
W2 W 0.5000 0.5000 0.0000 1
O1 O 0.1022 0.6876 0.9403 1
O2 O 0.1022 0.8124 0.4403 1
O3 O 0.2337 0.1727 0.9263 1
O4 O 0.2337 0.3273 0.4263 1
O5 O 0.3728 0.5382 0.7391 1
O6 O 0.3728 0.9618 0.2391 1
O7 O 0.6272 0.0382 0.7609 1
O8 O 0.6272 0.4618 0.2609 1
O9 O 0.7663 0.6727 0.5737 1
O10 O 0.7663 0.8273 0.0737 1
O11 O 0.8978 0.1876 0.5597 1
O12 O 0.8978 0.3124 0.0597 1
```

Top 10 peaks for 5 to 70 degrees two-theta, sorted by position:
22.55 deg, I = 19, hkl 0 0 2
22.98 deg, I = 35, hkl 1 1 -1
32.33 deg, I = 100, hkl 0 2 0
32.49 deg, I = 64, hkl 1 1 -3
33.11 deg, I = 29, hkl 2 0 -2
46.05 deg, I = 15, hkl 0 0 4
46.95 deg, I = 28, hkl 2 2 -2
57.38 deg, I = 16, hkl 0 2 4
57.70 deg, I = 36, hkl 2 0 2
58.84 deg, I = 15, hkl 3 1 -5